This entry pairs a crystal structure of Li21Co8O18 with its calculated powder diffractogram. Radiation: Cu Kα (weighted mean of Kα1 and Kα2). Structure: a cell relaxed with GGA+U.
Intensities are scaled so that the largest is 100.

Cell and atoms:
```
data_Li21Co8O18
_chemical_formula_sum 'Li21 Co8 O18'
_cell_length_a 7.7108
_cell_length_b 7.7975
_cell_length_c 9.8361
_cell_angle_alpha 92.93
_cell_angle_beta 102.49
_cell_angle_gamma 119.53
_symmetry_space_group_name_H-M 'P 1'
_symmetry_Int_Tables_number 1
loop_
_symmetry_equiv_pos_as_xyz
'x,y,z'
loop_
_atom_site_label
_atom_site_fract_x
_atom_site_fract_y
_atom_site_fract_z
_atom_site_occupancy
Li1 0.0000 0.0000 0.0000 1
Li2 0.0063 0.5303 0.2467 1
Li3 0.0182 0.3474 0.4707 1
Li4 0.0460 0.9511 0.6844 1
Li5 0.0726 0.6976 0.7139 1
Li6 0.1046 0.2520 0.2291 1
Li7 0.2527 0.5661 0.7755 1
Li8 0.2764 0.3773 0.0176 1
Li9 0.3515 0.7903 0.4844 1
Li10 0.3580 0.0933 0.9482 1
Li11 0.3787 0.6427 0.2398 1
Li12 0.3978 0.3280 0.7655 1
Li13 0.4687 0.0478 0.7004 1
Li14 0.5381 0.7960 0.9930 1
Li15 0.6263 0.1951 0.4765 1
Li16 0.6838 0.5534 0.9969 1
Li17 0.7065 0.9031 0.4603 1
Li18 0.7212 0.0965 0.2536 1
Li19 0.7346 0.4310 0.7149 1
Li20 0.8319 0.8471 0.2067 1
Li21 0.8887 0.6022 0.4952 1
Co1 0.1211 0.6744 0.0057 1
Co2 0.1726 0.0572 0.4786 1
Co3 0.2837 0.9702 0.2242 1
Co4 0.3997 0.4328 0.4843 1
Co5 0.5737 0.3997 0.2331 1
Co6 0.6415 0.7485 0.7191 1
Co7 0.7978 0.2347 0.9897 1
Co8 0.9251 0.1870 0.7356 1
O1 0.0888 0.4471 0.0820 1
O2 0.1435 0.1625 0.8397 1
O3 0.1786 0.8522 0.5709 1
O4 0.2404 0.5171 0.3835 1
O5 0.2786 0.8040 0.8909 1
O6 0.2925 0.1839 0.1377 1
O7 0.4645 0.2602 0.5773 1
O8 0.4818 0.9300 0.3302 1
O9 0.5142 0.6062 0.8443 1
O10 0.5554 0.5985 0.1456 1
O11 0.6058 0.2770 0.8781 1
O12 0.6466 0.9709 0.6331 1
O13 0.7839 0.3753 0.3391 1
O14 0.8048 0.0380 0.0844 1
O15 0.8159 0.6924 0.6509 1
O16 0.9360 0.0517 0.3834 1
O17 0.9654 0.4129 0.6533 1
O18 0.9967 0.7642 0.1189 1
```

The 10 most intense peaks (2θ = 15–90°), in order of rising 2θ:
2θ (°)	Rel. int.	h k l
17.1	100	1 -1 1
23.7	51	2 -1 0
26.7	36	0 2 -1
26.9	47	-2 1 2
27.9	35	1 0 -3
30.0	26	0 2 1
30.2	64	-1 1 3
39.9	32	2 1 -3
40.6	31	2 1 1
42.0	35	-1 3 2